The following is a simulated PXRD pattern of La2Zn4NiPt. It was derived from a structure optimized by DFT (GGA-PBE), using Cu Kα.
Peak positions follow from Bragg's law for the DFT cell and can differ from measured ones.

The 12 most intense peaks (10° ≤ 2θ ≤ 90°), sorted by position:
h k l	2θ (°)	I/Imax
2 0 0	23.28	48
2 1 1	33.16	100
1 1 3	36.67	90
1 0 4	38.00	47
3 0 2	39.69	17
2 1 3	42.16	19
3 1 1	42.63	28
0 2 0	43.87	37
4 0 0	47.51	16
3 1 3	50.22	33
1 2 4	59.41	25
2 2 4	63.38	18

Crystal structure
```
data_La2Zn4NiPt
_chemical_formula_sum 'La4 Zn8 Ni2 Pt2'
_symmetry_space_group_name_H-M 'A m m 2'
_symmetry_Int_Tables_number 38
_cell_length_a 7.6556
_cell_length_b 4.1279
_cell_length_c 9.9589
_cell_angle_alpha 90.00
_cell_angle_beta 90.00
_cell_angle_gamma 90.00
loop_
_symmetry_equiv_pos_as_xyz
'x,y,z'
'-x,-y,z'
'-x,y,z'
'x,-y,z'
'x,y+1/2,z+1/2'
'-x,-y+1/2,z+1/2'
'-x,y+1/2,z+1/2'
'x,-y+1/2,z+1/2'
loop_
_atom_site_label
_atom_site_fract_x
_atom_site_fract_y
_atom_site_fract_z
La1 0.0000 0.0000 0.0000
La2 0.5000 0.0000 0.1230
Zn1 0.1873 0.0000 0.7129
Zn2 0.2915 0.0000 0.4028
Ni1 0.0000 0.0000 0.2757
Pt1 0.5000 0.0000 0.8401
```

The following is a simulated PXRD pattern of Cu7Ag2. It was derived from a structure optimized by DFT (GGA-PBE), using Cu Kα.
Peak positions follow from Bragg's law for the DFT cell and can differ from measured ones.

The 12 most intense peaks (10° ≤ 2θ ≤ 90°), sorted by position:
h k l	2θ (°)	I/Imax
1 1 0	25.23	3
4 0 -1	32.23	1
3 1 1	41.69	100
0 0 3	48.37	16
6 0 -1	48.49	15
0 2 0	48.71	16
6 0 2	70.85	4
6 0 -4	70.95	4
0 2 3	71.13	18
3 1 4	85.67	11
9 1 0	85.85	10
3 3 1	86.18	11

Crystal structure
```
data_Cu7Ag2
_chemical_formula_sum 'Cu14 Ag4'
_symmetry_space_group_name_H-M 'C 1 2/m 1'
_symmetry_Int_Tables_number 12
_cell_length_a 11.2645
_cell_length_b 3.7391
_cell_length_c 5.9475
_cell_angle_alpha 90.00
_cell_angle_beta 108.33
_cell_angle_gamma 90.00
loop_
_symmetry_equiv_pos_as_xyz
'x,y,z'
'-x,-y,-z'
'-x,y,-z'
'x,-y,z'
'x+1/2,y+1/2,z'
'-x+1/2,-y+1/2,-z'
'-x+1/2,y+1/2,-z'
'x+1/2,-y+1/2,z'
loop_
_atom_site_label
_atom_site_fract_x
_atom_site_fract_y
_atom_site_fract_z
Cu1 0.0000 0.0000 0.0000
Cu2 0.1187 0.0000 0.6774
Cu3 0.1721 0.5000 0.9983
Cu4 0.2246 0.0000 0.3266
Ag1 0.0572 0.5000 0.3272
```

The following is a simulated PXRD pattern of Li4TlSiAu2. It was derived from a structure optimized by DFT (GGA-PBE), using Cu Kα.
Peak positions follow from Bragg's law for the DFT cell and can differ from measured ones.

The 12 most intense peaks (10° ≤ 2θ ≤ 90°), sorted by position:
h k l	2θ (°)	I/Imax
1 0 0	20.32	12
1 0 1	24.40	100
1 1 1	31.95	21
1 0 2	33.96	16
1 1 2	39.89	53
2 0 0	41.31	29
1 0 3	46.05	12
2 1 1	48.56	32
2 0 3	59.51	10
2 2 0	59.85	10
2 1 3	63.56	9
3 1 2	74.36	17

Crystal structure
```
data_Li4TlSiAu2
_chemical_formula_sum 'Li4 Tl1 Si1 Au2'
_symmetry_space_group_name_H-M 'P -4 m 2'
_symmetry_Int_Tables_number 115
_cell_length_a 4.3712
_cell_length_b 4.3712
_cell_length_c 6.6253
_cell_angle_alpha 90.00
_cell_angle_beta 90.00
_cell_angle_gamma 90.00
loop_
_symmetry_equiv_pos_as_xyz
'x,y,z'
'y,-x,-z'
'-x,-y,z'
'-y,x,-z'
'-x,y,z'
'-y,-x,-z'
'x,-y,z'
'y,x,-z'
loop_
_atom_site_label
_atom_site_fract_x
_atom_site_fract_y
_atom_site_fract_z
Li1 0.0000 0.0000 0.0000
Li2 0.0000 0.5000 0.7242
Li3 0.5000 0.5000 0.5000
Tl1 0.5000 0.5000 0.0000
Si1 0.0000 0.0000 0.5000
Au1 0.0000 0.5000 0.2931
```

The following is a simulated PXRD pattern of CsHo3F10. It was derived from a structure optimized by DFT (GGA-PBE), using Cu Kα.
Peak positions follow from Bragg's law for the DFT cell and can differ from measured ones.

The 12 most intense peaks (10° ≤ 2θ ≤ 90°), sorted by position:
h k l	2θ (°)	I/Imax
0 0 1	21.52	26
2 0 1	25.30	45
4 0 0	26.48	100
0 2 1	31.61	32
2 2 -1	34.37	24
4 2 1	41.70	20
3 3 -1	46.02	14
6 2 0	46.75	33
4 0 2	51.96	43
2 4 1	53.90	12
8 0 0	54.53	13
6 2 2	66.02	15

Crystal structure
```
data_CsHo3F10
_chemical_formula_sum 'Cs2 Ho6 F20'
_symmetry_space_group_name_H-M 'C 1 m 1'
_symmetry_Int_Tables_number 8
_cell_length_a 13.4601
_cell_length_b 7.7729
_cell_length_c 4.1300
_cell_angle_alpha 90.00
_cell_angle_beta 90.07
_cell_angle_gamma 90.00
loop_
_symmetry_equiv_pos_as_xyz
'x,y,z'
'x,-y,z'
'x+1/2,y+1/2,z'
'x+1/2,-y+1/2,z'
loop_
_atom_site_label
_atom_site_fract_x
_atom_site_fract_y
_atom_site_fract_z
Cs1 0.0000 0.0000 0.0000
Ho1 0.0074 0.5000 0.5741
Ho2 0.2447 0.2632 0.5702
F1 0.0895 0.2725 0.4056
F2 0.1660 0.5000 0.7966
F3 0.1929 0.0000 0.5873
F4 0.2636 0.2021 0.0690
F5 0.3169 0.5000 0.3983
F6 0.4022 0.2101 0.5921
F7 0.4675 0.0000 0.0725
```

The following is a simulated PXRD pattern of Li2ZnAg2GeAu2. It was derived from a structure optimized by DFT (GGA-PBE), using Cu Kα.
Peak positions follow from Bragg's law for the DFT cell and can differ from measured ones.

The 12 most intense peaks (10° ≤ 2θ ≤ 90°), sorted by position:
h k l	2θ (°)	I/Imax
1 0 1	24.25	28
0 0 2	27.46	24
1 1 0	28.37	44
1 1 2	39.90	100
2 0 0	40.56	48
2 1 1	47.82	10
2 0 2	49.68	19
0 0 4	56.69	9
2 2 0	58.70	16
2 0 4	72.01	17
3 1 2	73.34	33
2 2 4	86.06	11

Crystal structure
```
data_Li2ZnAg2GeAu2
_chemical_formula_sum 'Li2 Zn1 Ag2 Ge1 Au2'
_symmetry_space_group_name_H-M 'P -4 m 2'
_symmetry_Int_Tables_number 115
_cell_length_a 4.4487
_cell_length_b 4.4487
_cell_length_c 6.4950
_cell_angle_alpha 90.00
_cell_angle_beta 90.00
_cell_angle_gamma 90.00
loop_
_symmetry_equiv_pos_as_xyz
'x,y,z'
'y,-x,-z'
'-x,-y,z'
'-y,x,-z'
'-x,y,z'
'-y,-x,-z'
'x,-y,z'
'y,x,-z'
loop_
_atom_site_label
_atom_site_fract_x
_atom_site_fract_y
_atom_site_fract_z
Li1 0.0000 0.0000 0.0000
Li2 0.5000 0.5000 0.5000
Zn1 0.0000 0.0000 0.5000
Ag1 0.0000 0.5000 0.7432
Ge1 0.5000 0.5000 0.0000
Au1 0.0000 0.5000 0.2567
```

The following is a simulated PXRD pattern of Cd5N. It was derived from a structure optimized by DFT (GGA-PBE), using Cu Kα.
Peak positions follow from Bragg's law for the DFT cell and can differ from measured ones.

The 12 most intense peaks (10° ≤ 2θ ≤ 90°), sorted by position:
h k l	2θ (°)	I/Imax
1 0 0	18.61	93
0 0 2	34.96	48
1 1 1	37.06	91
2 0 0	37.74	20
1 0 2	39.89	27
2 0 1	41.78	100
2 0 2	52.38	15
3 0 1	61.03	20
1 1 3	64.08	17
2 0 3	67.36	23
2 2 0	68.13	19
2 2 2	78.92	25

Crystal structure
```
data_Cd5N
_chemical_formula_sum 'Cd5 N1'
_symmetry_space_group_name_H-M 'P 6/m m m'
_symmetry_Int_Tables_number 191
_symmetry_space_group_name_Hall '-P 6 2'
_cell_length_a 5.5054
_cell_length_b 5.5054
_cell_length_c 5.1332
_cell_angle_alpha 90.00
_cell_angle_beta 90.00
_cell_angle_gamma 120.00
loop_
_atom_site_label
_atom_site_fract_x
_atom_site_fract_y
_atom_site_fract_z
Cd1 0.0000 0.5000 0.0000
Cd2 0.3333 0.6667 0.5000
N1 0.0000 0.0000 0.5000
```

The following is a simulated PXRD pattern of La3IrPb. It was derived from a structure optimized by DFT (GGA-PBE), using Cu Kα.
Peak positions follow from Bragg's law for the DFT cell and can differ from measured ones.

The 12 most intense peaks (10° ≤ 2θ ≤ 90°), sorted by position:
h k l	2θ (°)	I/Imax
1 0 0	12.82	23
1 1 0	22.30	28
1 1 1	27.21	24
2 0 1	30.19	100
1 0 2	33.73	24
1 2 0	34.37	21
3 0 0	39.14	20
2 0 2	40.81	41
2 2 0	45.51	25
2 1 2	47.00	19
2 0 3	54.72	19
3 1 2	57.83	18

Crystal structure
```
data_La3IrPb
_chemical_formula_sum 'La6 Ir2 Pb2'
_symmetry_space_group_name_H-M 'P 63/m'
_symmetry_Int_Tables_number 176
_symmetry_space_group_name_Hall '-P 6c'
_cell_length_a 7.9719
_cell_length_b 7.9719
_cell_length_c 5.7585
_cell_angle_alpha 90.00
_cell_angle_beta 90.00
_cell_angle_gamma 120.00
loop_
_atom_site_label
_atom_site_fract_x
_atom_site_fract_y
_atom_site_fract_z
La1 0.1148 0.3544 0.2500
Ir1 0.0000 0.0000 0.0000
Pb1 0.3333 0.6667 0.7500
```

The following is a simulated PXRD pattern of Pr2Sm2C2Br3Cl2. It was derived from a structure optimized by DFT (GGA-PBE), using Cu Kα.
Peak positions follow from Bragg's law for the DFT cell and can differ from measured ones.

The 12 most intense peaks (10° ≤ 2θ ≤ 90°), sorted by position:
h k l	2θ (°)	I/Imax
0 0 1	11.12	71
2 0 1	16.36	15
3 1 -1	27.63	18
6 0 0	28.66	67
3 1 1	30.50	18
1 1 -2	31.48	100
5 1 -1	32.90	18
6 0 -3	38.58	17
7 1 -2	42.42	36
5 1 2	43.74	40
0 2 0	46.15	19
6 2 0	55.24	22

Crystal structure
```
data_Pr2Sm2C2Br3Cl2
_chemical_formula_sum 'Pr4 Sm4 C4 Br6 Cl4'
_symmetry_space_group_name_H-M 'C 1 2/m 1'
_symmetry_Int_Tables_number 12
_cell_length_a 19.3217
_cell_length_b 3.9337
_cell_length_c 8.2279
_cell_angle_alpha 90.00
_cell_angle_beta 104.71
_cell_angle_gamma 90.00
loop_
_symmetry_equiv_pos_as_xyz
'x,y,z'
'-x,-y,-z'
'-x,y,-z'
'x,-y,z'
'x+1/2,y+1/2,z'
'-x+1/2,-y+1/2,-z'
'-x+1/2,y+1/2,-z'
'x+1/2,-y+1/2,z'
loop_
_atom_site_label
_atom_site_fract_x
_atom_site_fract_y
_atom_site_fract_z
Pr1 0.0008 0.0000 0.2045
Sm1 0.1562 0.5000 0.1049
C1 0.0375 0.5000 0.0235
Br1 0.0000 0.5000 0.5000
Br2 0.1695 0.0000 0.8401
Cl1 0.1599 0.0000 0.3464
```

The following is a simulated PXRD pattern of HoErZr2As2. It was derived from a structure optimized by DFT (GGA-PBE), using Cu Kα.
Peak positions follow from Bragg's law for the DFT cell and can differ from measured ones.

The 12 most intense peaks (10° ≤ 2θ ≤ 90°), sorted by position:
h k l	2θ (°)	I/Imax
1 0 3	27.66	36
1 1 0	31.04	31
1 1 2	33.09	100
0 0 6	33.98	41
1 0 5	35.93	52
1 1 4	38.66	68
2 0 0	44.47	59
2 0 6	57.10	48
2 1 5	58.44	25
2 2 0	64.71	19
3 1 2	74.63	18
2 2 6	75.11	27

Crystal structure
```
data_HoErZr2As2
_chemical_formula_sum 'Ho2 Er2 Zr4 As4'
_symmetry_space_group_name_H-M 'I 4 m m'
_symmetry_Int_Tables_number 107
_symmetry_space_group_name_Hall 'I 4 -2'
_cell_length_a 4.0745
_cell_length_b 4.0745
_cell_length_c 15.8276
_cell_angle_alpha 90.00
_cell_angle_beta 90.00
_cell_angle_gamma 90.00
loop_
_atom_site_label
_atom_site_fract_x
_atom_site_fract_y
_atom_site_fract_z
Ho1 0.0000 0.0000 0.0000
Er1 0.0000 0.0000 0.3559
Zr1 0.0000 0.5000 0.1782
As1 0.0000 0.0000 0.5442
As2 0.0000 0.0000 0.8120
```

The following is a simulated PXRD pattern of Cd6MoPt. It was derived from a structure optimized by DFT (GGA-PBE), using Cu Kα.
Peak positions follow from Bragg's law for the DFT cell and can differ from measured ones.

The 12 most intense peaks (10° ≤ 2θ ≤ 90°), sorted by position:
h k l	2θ (°)	I/Imax
2 0 2	33.15	69
2 1 1	35.19	99
3 0 0	38.10	56
2 -1 3	39.13	79
1 2 2	39.99	100
1 0 4	45.26	29
5 -2 1	57.78	24
4 1 0	59.81	26
5 -3 2	61.18	22
4 -3 4	65.17	21
4 0 4	69.58	24
1 1 6	71.57	19

Crystal structure
```
data_Cd6MoPt
_chemical_formula_sum 'Cd18 Mo3 Pt3'
_symmetry_space_group_name_H-M 'R -3'
_symmetry_Int_Tables_number 148
_symmetry_space_group_name_Hall '-R 3'
_cell_length_a 8.1818
_cell_length_b 8.1818
_cell_length_c 8.3561
_cell_angle_alpha 90.00
_cell_angle_beta 90.00
_cell_angle_gamma 120.00
loop_
_atom_site_label
_atom_site_fract_x
_atom_site_fract_y
_atom_site_fract_z
Cd1 0.0169 0.7556 0.2282
Mo1 0.0000 0.0000 0.5000
Pt1 0.0000 0.0000 0.0000
```

The following is a simulated PXRD pattern of Cd2MoN. It was derived from a structure optimized by DFT (GGA-PBE), using Cu Kα.
Peak positions follow from Bragg's law for the DFT cell and can differ from measured ones.

The 12 most intense peaks (10° ≤ 2θ ≤ 90°), sorted by position:
h k l	2θ (°)	I/Imax
1 0 0	34.13	20
0 0 6	34.24	24
1 0 3	38.33	100
1 0 5	44.97	4
1 0 6	49.12	16
1 0 7	53.71	4
1 1 0	61.09	18
1 0 9	64.03	14
1 1 6	71.92	18
2 0 3	74.46	13
1 0 11	75.80	5
2 0 6	82.07	3

Crystal structure
```
data_Cd2MoN
_chemical_formula_sum 'Cd4 Mo2 N2'
_symmetry_space_group_name_H-M 'P 63/m m c'
_symmetry_Int_Tables_number 194
_symmetry_space_group_name_Hall '-P 6c 2c'
_cell_length_a 3.0339
_cell_length_b 3.0339
_cell_length_c 15.7124
_cell_angle_alpha 90.00
_cell_angle_beta 90.00
_cell_angle_gamma 120.00
loop_
_atom_site_label
_atom_site_fract_x
_atom_site_fract_y
_atom_site_fract_z
Cd1 0.3333 0.6667 0.0972
Mo1 0.3333 0.6667 0.7500
N1 0.0000 0.0000 0.0000
```

The following is a simulated PXRD pattern of Dy3MgCdIn3Ag. It was derived from a structure optimized by DFT (GGA-PBE), using Cu Kα.
Peak positions follow from Bragg's law for the DFT cell and can differ from measured ones.

The 12 most intense peaks (10° ≤ 2θ ≤ 90°), sorted by position:
h k l	2θ (°)	I/Imax
1 1 1	31.89	100
1 2 0	33.85	36
2 0 1	34.42	56
3 0 0	38.55	44
1 2 1	41.22	18
0 0 2	46.61	17
1 3 0	46.75	11
3 1 1	52.63	11
1 2 2	58.84	14
3 0 2	62.03	21
3 2 1	62.51	27
5 0 1	71.56	10

Crystal structure
```
data_Dy3MgCdIn3Ag
_chemical_formula_sum 'Dy3 Mg1 Cd1 In3 Ag1'
_symmetry_space_group_name_H-M 'P -6'
_symmetry_Int_Tables_number 174
_cell_length_a 8.0903
_cell_length_b 8.0903
_cell_length_c 3.8969
_cell_angle_alpha 90.00
_cell_angle_beta 90.00
_cell_angle_gamma 120.00
loop_
_symmetry_equiv_pos_as_xyz
'x,y,z'
'-x+y,-x,-z'
'-y,x-y,z'
'x,y,-z'
'-x+y,-x,z'
'-y,x-y,-z'
loop_
_atom_site_label
_atom_site_fract_x
_atom_site_fract_y
_atom_site_fract_z
Dy1 0.0580 0.7202 0.0000
Mg1 0.0000 0.0000 0.5000
Cd1 0.3333 0.6667 0.5000
In1 0.3954 0.0707 0.5000
Ag1 0.6667 0.3333 0.0000
```